# GdYW3O12
Computed X-ray powder pattern, Cu Kα X-rays. Input: a DFT-relaxed cell (GGA+U, the Materials Project).

```
data_GdYW3O12
_symmetry_space_group_name_H-M 'C 1 2 1'
_symmetry_Int_Tables_number 5
_symmetry_space_group_name_Hall 'C 2y'
_cell_length_a 7.8341
_cell_length_b 11.5573
_cell_length_c 11.4644
_cell_angle_alpha 90.00
_cell_angle_beta 109.60
_cell_angle_gamma 90.00
loop_
_atom_site_label
_atom_site_fract_x
_atom_site_fract_y
_atom_site_fract_z
Gd1 0.1643 0.0000 0.3442
Y1 0.1647 0.2460 0.8439
W1 0.0000 0.2567 0.5000
W2 0.0000 0.9897 0.0000
W3 0.1443 0.5174 0.2954
W4 0.1464 0.7291 0.7982
O1 0.0478 0.4062 0.1850
O2 0.0520 0.8406 0.6878
O3 0.0680 0.5844 0.6790
O4 0.0676 0.6632 0.1768
O5 0.1281 0.3327 0.6446
O6 0.1295 0.9119 0.1428
O7 0.1321 0.1761 0.2127
O8 0.1342 0.0721 0.7143
O9 0.1653 0.0820 0.9696
O10 0.1668 0.1646 0.4715
O11 0.2192 0.4465 0.4471
O12 0.2219 0.7994 0.9502
```

Peak list (10 most intense, 10° ≤ 2θ ≤ 90°, most intense first)
- 2θ = 27.51°, rel. 100, hkl 2 2 -1
- 2θ = 29.23°, rel. 67, hkl 0 2 3
- 2θ = 46.39°, rel. 36, hkl 4 0 -2
- 2θ = 30.95°, rel. 27, hkl 0 4 0
- 2θ = 18.46°, rel. 24, hkl 1 1 -2
- 2θ = 46.58°, rel. 20, hkl 2 4 -4
- 2θ = 18.36°, rel. 17, hkl 1 1 1
- 2θ = 16.41°, rel. 16, hkl 0 0 2
- 2θ = 28.63°, rel. 15, hkl 1 3 1
- 2θ = 33.70°, rel. 15, hkl 2 0 2

***

# Li2V2SiGeO10
Computed X-ray powder pattern, Cu Kα X-rays. Input: a DFT-relaxed cell (GGA+U, the Materials Project).

```
data_Li2V2SiGeO10
_symmetry_space_group_name_H-M 'C 2 2 2'
_symmetry_Int_Tables_number 21
_symmetry_space_group_name_Hall 'C 2 2'
_cell_length_a 9.0285
_cell_length_b 9.1086
_cell_length_c 4.6668
_cell_angle_alpha 90.00
_cell_angle_beta 90.00
_cell_angle_gamma 90.00
loop_
_atom_site_label
_atom_site_fract_x
_atom_site_fract_y
_atom_site_fract_z
Li1 0.0000 0.2399 0.0000
V1 0.2500 0.2500 0.3911
Si1 0.0000 0.0000 0.5000
Ge1 0.0000 0.5000 0.5000
O1 0.1020 0.1069 0.2943
O2 0.1060 0.3869 0.2705
O3 0.2500 0.2500 0.7410
```

Peak list (10 most intense, 10° ≤ 2θ ≤ 90°, most intense first)
- 2θ = 27.83°, rel. 100, hkl 2 2 0
- 2θ = 19.02°, rel. 96, hkl 0 0 1
- 2θ = 33.92°, rel. 80, hkl 2 2 1
- 2θ = 23.58°, rel. 46, hkl 1 1 1
- 2θ = 57.49°, rel. 23, hkl 4 4 0
- 2θ = 41.17°, rel. 18, hkl 1 1 2
- 2θ = 68.70°, rel. 15, hkl 6 2 1
- 2θ = 13.81°, rel. 15, hkl 1 1 0
- 2θ = 46.75°, rel. 15, hkl 3 3 1
- 2θ = 61.12°, rel. 13, hkl 4 4 1

***

# Li2V2SiGeO10
Computed X-ray powder pattern, Cu Kα X-rays. Input: a DFT-relaxed cell (GGA+U, the Materials Project).

```
data_Li2V2SiGeO10
_symmetry_space_group_name_H-M 'P 1 m 1'
_symmetry_Int_Tables_number 6
_symmetry_space_group_name_Hall 'P -2y'
_cell_length_a 4.6536
_cell_length_b 6.3829
_cell_length_c 6.4822
_cell_angle_alpha 90.00
_cell_angle_beta 92.44
_cell_angle_gamma 90.00
loop_
_atom_site_label
_atom_site_fract_x
_atom_site_fract_y
_atom_site_fract_z
Li1 0.0000 0.2421 0.0000
V1 0.3891 0.0000 0.7288
V2 0.6110 0.5000 0.2477
Si1 0.5018 0.0000 0.2324
Ge1 0.4995 0.5000 0.7457
O1 0.2605 0.5000 0.2225
O2 0.2641 0.0000 0.0385
O3 0.2701 0.2792 0.7574
O4 0.3320 0.0000 0.4506
O5 0.7033 0.5000 0.5220
O6 0.7062 0.2105 0.2218
O7 0.7390 0.0000 0.7670
O8 0.7520 0.5000 0.9570
```

Peak list (10 most intense, 10° ≤ 2θ ≤ 90°, most intense first)
- 2θ = 19.09°, rel. 100, hkl 1 0 0
- 2θ = 27.55°, rel. 52, hkl 0 0 2
- 2θ = 27.96°, rel. 51, hkl 0 2 0
- 2θ = 34.07°, rel. 41, hkl 1 2 0
- 2θ = 23.67°, rel. 23, hkl 1 1 0
- 2θ = 33.03°, rel. 23, hkl 1 0 -2
- 2θ = 34.42°, rel. 18, hkl 1 0 2
- 2θ = 24.03°, rel. 17, hkl 1 0 1
- 2θ = 43.81°, rel. 17, hkl 1 2 -2
- 2θ = 56.88°, rel. 13, hkl 0 0 4